# Zr6NbHg5
Theoretical powder X-ray diffraction pattern, a wavelength of 1.5418 Å. Input: DFT lattice parameters and positions (GGA-PBE).
Kinematic intensities with the Lorentz-polarization factor, no thermal factor.

Cell and atoms:
```
Zr6NbHg5
1.0
2.3064 -6.9167 0.0000
2.3064 6.9167 0.0000
0.0000 0.0000 8.0934
Zr Nb Hg
6 1 5
Cartesian
0.0000 0.0000 1.9589
0.0000 0.0000 6.1345
2.3064 2.2705 1.9701
2.3064 2.2705 6.1233
2.3064 -2.2705 1.9701
2.3064 -2.2705 6.1233
2.3064 0.0000 0.0000
2.3064 4.6299 0.0000
2.3064 4.6035 4.0467
2.3064 0.0000 4.0467
2.3064 -4.6035 4.0467
2.3064 -4.6299 0.0000
```

Top 10 peaks for 15° ≤ 2θ ≤ 90°, by angle:
21.96 deg, d 4.047, I = 8.2; 27.35 deg, d 3.261, I = 9.9; 35.35 deg, d 2.539, I = 100.0; 39.06 deg, d 2.306, I = 38.1; 44.79 deg, d 2.023, I = 12.8; 56.43 deg, d 1.631, I = 13.0; 60.91 deg, d 1.521, I = 20.4; 68.37 deg, d 1.372, I = 29.1; 74.78 deg, d 1.270, I = 11.2; 76.41 deg, d 1.246, I = 10.5



# ZrNbHg
Theoretical powder X-ray diffraction pattern, a wavelength of 1.5418 Å. Input: DFT lattice parameters and positions (GGA-PBE).
Kinematic intensities with the Lorentz-polarization factor, no thermal factor.

Cell and atoms:
```
ZrNbHg
1.0
-1.7938 1.7938 4.8097
1.7938 -1.7938 4.8097
1.7938 1.7938 -4.8097
Zr Nb Hg
1 1 1
Cartesian
0.0000 0.0000 0.0000
0.0000 0.0000 3.2246
0.0000 0.0000 6.4848
```

Top 10 peaks for 15° ≤ 2θ ≤ 90°, by angle:
18.45 deg, d 4.810, I = 9.7; 26.52 deg, d 3.361, I = 18.1; 35.38 deg, d 2.537, I = 59.4; 37.62 deg, d 2.391, I = 100.0; 50.91 deg, d 1.794, I = 21.0; 65.00 deg, d 1.435, I = 39.9; 69.34 deg, d 1.355, I = 16.3; 80.32 deg, d 1.195, I = 10.9; 85.61 deg, d 1.134, I = 9.6; 86.95 deg, d 1.120, I = 9.3



# Zr4NbHg3
Theoretical powder X-ray diffraction pattern, a wavelength of 1.5418 Å. Input: DFT lattice parameters and positions (GGA-PBE).
Kinematic intensities with the Lorentz-polarization factor, no thermal factor.

Cell and atoms:
```
Zr4NbHg3
1.0
3.5054 0.0000 0.0000
0.0000 3.5054 0.0000
0.0000 0.0000 14.0390
Zr Nb Hg
4 1 3
Cartesian
0.0000 0.0000 1.6086
0.0000 0.0000 5.2295
0.0000 0.0000 8.8095
0.0000 0.0000 12.4304
1.7527 1.7527 0.0000
1.7527 1.7527 3.4286
1.7527 1.7527 7.0195
1.7527 1.7527 10.6103
```

Top 10 peaks for 15° ≤ 2θ ≤ 90°, by angle:
25.40 deg, d 3.507, I = 11.1; 31.90 deg, d 2.806, I = 2.9; 36.23 deg, d 2.480, I = 100.0; 44.76 deg, d 2.025, I = 3.6; 52.17 deg, d 1.753, I = 17.3; 58.89 deg, d 1.568, I = 5.1; 65.16 deg, d 1.432, I = 34.9; 76.89 deg, d 1.240, I = 10.7; 88.00 deg, d 1.110, I = 4.6; 88.12 deg, d 1.109, I = 11.0



# Nd5Hg
Theoretical powder X-ray diffraction pattern, a wavelength of 1.5418 Å. Input: DFT lattice parameters and positions (GGA-PBE).
Kinematic intensities with the Lorentz-polarization factor, no thermal factor.

Cell and atoms:
```
Nd5Hg
1.0
6.3501 -1.9007 0.0000
6.3501 1.9007 0.0000
-3.0150 0.0000 8.1748
Nd Hg
5 1
Cartesian
0.0000 0.0000 0.0000
11.4437 0.0000 3.4039
3.3980 0.0000 0.9825
2.3153 0.0000 5.0899
5.7303 0.0000 6.2756
7.6637 0.0000 2.6060
```

Top 10 peaks for 15° ≤ 2θ ≤ 90°, by angle:
30.45 deg, d 2.935, I = 93.9; 31.23 deg, d 2.864, I = 100.0; 32.61 deg, d 2.746, I = 87.3; 41.45 deg, d 2.178, I = 16.9; 45.68 deg, d 1.986, I = 11.6; 47.86 deg, d 1.901, I = 17.0; 53.65 deg, d 1.708, I = 15.1; 53.78 deg, d 1.705, I = 13.8; 56.31 deg, d 1.634, I = 12.5; 57.79 deg, d 1.595, I = 30.8



# Nd5Hg7
Theoretical powder X-ray diffraction pattern, a wavelength of 1.5418 Å. Input: DFT lattice parameters and positions (GGA-PBE).
Kinematic intensities with the Lorentz-polarization factor, no thermal factor.

Cell and atoms:
```
Nd5Hg7
1.0
5.1887 0.0000 0.0000
2.5929 4.4987 0.0000
2.5551 1.4938 14.8490
Nd Hg
5 7
Cartesian
0.0000 0.0000 0.0000
2.5739 1.4965 8.5866
5.1591 2.9950 11.8562
5.1775 2.9975 2.9928
7.7627 4.4960 6.2624
2.5648 1.4929 11.6886
2.5744 1.4990 4.9174
2.5954 1.5020 1.2636
5.1683 2.9963 7.4245
7.7413 4.4905 13.5854
7.7623 4.4935 9.9316
7.7719 4.4996 3.1604
```

Top 10 peaks for 15° ≤ 2θ ≤ 90°, by angle:
28.20 deg, d 3.165, I = 15.9; 29.69 deg, d 3.009, I = 33.4; 32.86 deg, d 2.725, I = 30.5; 34.55 deg, d 2.596, I = 100.0; 46.15 deg, d 1.967, I = 6.8; 48.43 deg, d 1.880, I = 10.4; 58.92 deg, d 1.567, I = 8.2; 60.80 deg, d 1.523, I = 7.1; 61.90 deg, d 1.499, I = 22.4; 72.88 deg, d 1.298, I = 10.1



# Nd2Hg7
Theoretical powder X-ray diffraction pattern, a wavelength of 1.5418 Å. Input: DFT lattice parameters and positions (GGA-PBE).
Kinematic intensities with the Lorentz-polarization factor, no thermal factor.

Cell and atoms:
```
Nd2Hg7
1.0
5.2130 0.0000 0.0000
-2.6065 4.5146 0.0000
0.0000 0.0000 9.6444
Nd Hg
2 7
Cartesian
0.0000 3.0098 2.6122
2.6065 1.5049 7.0322
0.0000 0.0000 1.5296
0.0000 0.0000 4.8222
0.0000 0.0000 8.1149
0.0000 3.0098 5.8156
0.0000 3.0098 8.9449
2.6065 1.5049 0.6995
2.6065 1.5049 3.8288
```

Top 10 peaks for 15° ≤ 2θ ≤ 90°, by angle:
34.24 deg, d 2.619, I = 98.1; 34.41 deg, d 2.607, I = 100.0; 49.33 deg, d 1.847, I = 35.6; 61.21 deg, d 1.514, I = 18.1; 61.53 deg, d 1.507, I = 36.9; 61.63 deg, d 1.505, I = 19.0; 72.14 deg, d 1.309, I = 11.3; 72.53 deg, d 1.303, I = 11.9; 82.43 deg, d 1.170, I = 16.1; 82.71 deg, d 1.167, I = 16.6